(1)
Diffraction record for AlH10C3N. The X-ray powder pattern is calculated, not measured: it uses a crystal structure in Alexandria, relaxed with PBE and CuKα.
Peak positions follow from Bragg's law for the DFT cell and can differ from measured ones.

Largest 10 diffraction maxima, sorted by position, 5° ≤ 2θ ≤ 70°:
d/Å, Rel. int., index
7.355, 1000, 1 1 0
5.788, 634, 0 2 0
4.987, 281, 0 2 1
4.772, 485, 1 1 -2
3.629, 135, 1 1 2
3.576, 101, 1 3 0
3.159, 129, 2 2 1
2.897, 68, 2 2 -3
2.550, 91, 4 0 -2
2.456, 119, 0 0 4

Lattice parameters (Å, degrees): 10.2728 11.5760 10.5967 90.00 111.99 90.00
Space group C2/c (No. 15)
Inequivalent atoms, fractional coordinates:
Al  0.0308  0.0530  0.1305 x8
H  0.0486  0.3273  0.6015 x8
H  0.0628  0.1861  0.1124 x8
H  0.0711  0.4778  0.6331 x8
H  0.0981  0.0525  0.5689 x8
H  0.1056  0.1568  0.8300 x8
H  0.1627  0.3779  0.7640 x8
H  0.2057  0.1968  0.3769 x8
H  0.2058  0.4027  0.4920 x8
H  0.2326  0.3819  0.1817 x8
H  0.2449  0.1055  0.9768 x8
C  0.1257  0.3943  0.6539 x8
C  0.1925  0.0945  0.8657 x8
C  0.2468  0.3898  0.6035 x8
N  0.1391  0.0250  0.3319 x8



(2)
Diffraction record for Li3Nd2Tl3. The X-ray powder pattern is calculated, not measured: it uses a crystal structure in Alexandria, relaxed with PBE and CuKα.
Peak positions follow from Bragg's law for the DFT cell and can differ from measured ones.

Largest 10 diffraction maxima, sorted by position, 5° ≤ 2θ ≤ 70°:
d/Å, Rel. int., index
7.783, 437, 1 0 0
3.676, 1000, 1 1 1
2.605, 587, 1 1 2
2.594, 611, 3 0 0
2.120, 202, 2 2 1
1.926, 173, 1 1 3
1.838, 191, 2 2 2
1.641, 151, 4 1 1
1.499, 279, 3 3 0
1.361, 167, 3 0 4

Lattice parameters (Å, degrees): 8.9865 8.9865 6.3935 90.00 90.00 120.00
Space group P6_3/mcm (No. 193)
Inequivalent atoms, fractional coordinates:
Li  0.0000  0.2839  0.2500 x6
Nd  0.3333  0.6667  0.0000 x4
Tl  0.0000  0.3589  0.7500 x6



(3)
Diffraction record for YbAl10Fe2. The X-ray powder pattern is calculated, not measured: it uses a crystal structure in Alexandria, relaxed with PBE and CuKα.
Peak positions follow from Bragg's law for the DFT cell and can differ from measured ones.

Largest 10 diffraction maxima, sorted by position, 5° ≤ 2θ ≤ 70°:
d/Å, Rel. int., index
6.700, 431, 1 1 0
5.366, 428, 1 1 1
3.724, 303, 1 1 2
3.161, 419, 2 0 2
3.138, 410, 2 2 1
2.574, 332, 0 2 3
2.407, 381, 3 1 2
2.240, 299, 0 0 4
2.230, 1000, 4 0 0
2.206, 873, 0 4 2

Lattice parameters (Å, degrees): 8.9208 10.1464 8.9604 90.00 90.00 90.00
Space group Cmcm (No. 63)
Inequivalent atoms, fractional coordinates:
Yb  0.0000  0.1209  0.2500 x4
Al  0.0000  0.1572  0.5959 x8
Al  0.0000  0.3740  0.0474 x8
Al  0.1527  0.3727  0.7500 x8
Al  0.2265  0.3586  0.2500 x8
Al  0.2266  0.0000  0.0000 x8
Fe  0.2500  0.2500  0.0000 x8



(4)
Diffraction record for Re8Tc. The X-ray powder pattern is calculated, not measured: it uses a crystal structure in Alexandria, relaxed with PBE and CuKα.
Peak positions follow from Bragg's law for the DFT cell and can differ from measured ones.

Largest 6 diffraction maxima, sorted by position, 5° ≤ 2θ ≤ 70°:
d/Å, Rel. int., index
6.784, 18, 0 1 1
5.867, 6, 0 0 2
2.259, 1000, 1 0 3
1.957, 490, 1 3 0
1.386, 54, 0 6 0
1.383, 265, 2 0 0

Lattice parameters (Å, degrees): 2.7643 8.3145 11.7335 90.00 90.00 90.00
Space group Immm (No. 71)
Inequivalent atoms, fractional coordinates:
Re  0.0000  0.0000  0.1667 x4
Re  0.0000  0.3329  0.5000 x4
Re  0.0000  0.3336  0.1663 x8
Tc  0.0000  0.0000  0.5000 x2



(5)
Diffraction record for Ce2Al3Ga2. The X-ray powder pattern is calculated, not measured: it uses a crystal structure in Alexandria, relaxed with PBE and CuKα.
Peak positions follow from Bragg's law for the DFT cell and can differ from measured ones.

Largest 10 diffraction maxima, sorted by position, 5° ≤ 2θ ≤ 70°:
d/Å, Rel. int., index
4.907, 662, 0 4 0
3.773, 593, 1 3 0
2.723, 395, 0 4 1
2.646, 866, 1 1 1
2.473, 724, 1 3 1
2.397, 1000, 1 7 0
2.311, 791, 2 0 0
1.761, 215, 2 4 1
1.635, 383, 0 0 2
1.352, 318, 1 7 2

Lattice parameters (Å, degrees): 4.6190 19.6281 3.2731 90.00 90.00 90.00
Space group Cmmm (No. 65)
Inequivalent atoms, fractional coordinates:
Ce  0.0000  0.1433  0.0000 x4
Al  0.0000  0.0000  0.5000 x2
Al  0.0000  0.2836  0.5000 x4
Ga  0.0000  0.4242  0.5000 x4



(6)
Diffraction record for Pm4NiBr5. The X-ray powder pattern is calculated, not measured: it uses a crystal structure in Alexandria, relaxed with PBE and CuKα.
Peak positions follow from Bragg's law for the DFT cell and can differ from measured ones.

Largest 10 diffraction maxima, sorted by position, 5° ≤ 2θ ≤ 70°:
d/Å, Rel. int., index
9.153, 196, 2 0 0
8.414, 475, 0 0 1
3.051, 513, 6 0 0
2.994, 121, 3 1 1
2.950, 1000, 1 1 -2
2.163, 173, 2 0 -4
2.124, 330, 7 1 -2
2.118, 355, 5 1 2
2.017, 180, 0 2 0
1.682, 175, 6 2 0

Lattice parameters (Å, degrees): 18.8288 4.0330 8.6539 90.00 103.52 90.00
Space group C2/m (No. 12)
Inequivalent atoms, fractional coordinates:
Pm  0.0000  0.0000  0.2154 x4
Pm  0.1498  0.5000  0.0840 x4
Ni  0.0000  0.5000  0.0000 x2
Br  0.0000  0.5000  0.5000 x2
Br  0.1666  0.0000  0.3429 x4
Br  0.1740  0.0000  0.8381 x4